1.
Diffraction record for Dy2Th5C5. The powder X-ray diffraction pattern is calculated, not measured: it uses a PBE-relaxed structure and Cu Kα X-rays.
Neutral-atom scattering factors, no anomalous dispersion.

Top 10 peaks for 15 to 90 degrees two-theta, sorted by position:
- 26.00 deg, rel. 22
- 27.35 deg, rel. 33
- 29.27 deg, rel. 70
- 30.49 deg, rel. 23
- 31.63 deg, rel. 52
- 32.88 deg, rel. 100
- 32.95 deg, rel. 59
- 34.43 deg, rel. 47
- 49.41 deg, rel. 24
- 60.66 deg, rel. 41

Structural model:
a = 12.1983 Å, b = 3.6893 Å, c = 11.0701 Å
α = 90.00°, β = 106.08°, γ = 90.00°
Space group C2/m (No. 12)
Asymmetric unit:
1 Dy 0.0286 0.0000 0.2847
2 Th 0.0000 0.5000 0.0000
3 Th 0.1566 0.5000 0.5527
4 Th 0.2420 0.5000 0.8562
5 C 0.0000 0.0000 0.5000
6 C 0.1280 0.0000 0.9304
7 C 0.1724 0.5000 0.3152

2.
Diffraction record for AcMg6Zn3. The powder X-ray diffraction pattern is calculated, not measured: it uses a PBE-relaxed structure and Cu Kα X-rays.
Neutral-atom scattering factors, no anomalous dispersion.

Top 10 peaks for 15 to 90 degrees two-theta, sorted by position:
- 21.58 deg, rel. 77
- 23.59 deg, rel. 77
- 26.95 deg, rel. 81
- 27.78 deg, rel. 65
- 32.82 deg, rel. 100
- 33.49 deg, rel. 67
- 35.92 deg, rel. 87
- 36.68 deg, rel. 65
- 37.17 deg, rel. 54
- 39.57 deg, rel. 83

Structural model:
a = 9.6783 Å, b = 4.5546 Å, c = 10.2650 Å
α = 90.00°, β = 95.05°, γ = 90.00°
Space group P2_1/m (No. 11)
Asymmetric unit:
1 Ac 0.1526 0.2500 0.0840
2 Mg 0.0228 0.2500 0.7095
3 Mg 0.1767 0.7500 0.5843
4 Mg 0.3058 0.7500 0.3251
5 Mg 0.3928 0.2500 0.5329
6 Mg 0.4222 0.7500 0.0510
7 Mg 0.4764 0.7500 0.7468
8 Zn 0.1213 0.2500 0.4103
9 Zn 0.1871 0.7500 0.8578
10 Zn 0.3085 0.2500 0.7966

3.
Diffraction record for Ba3AlO5. The powder X-ray diffraction pattern is calculated, not measured: it uses a PBE-relaxed structure and Cu Kα X-rays.
Neutral-atom scattering factors, no anomalous dispersion.

Top 10 peaks for 15 to 90 degrees two-theta, sorted by position:
- 22.84 deg, rel. 30
- 28.20 deg, rel. 56
- 28.65 deg, rel. 100
- 30.39 deg, rel. 36
- 34.53 deg, rel. 26
- 35.65 deg, rel. 67
- 38.76 deg, rel. 35
- 46.65 deg, rel. 21
- 51.90 deg, rel. 21
- 52.93 deg, rel. 22

Structural model:
a = 7.3462 Å, b = 7.3462 Å, c = 11.7649 Å
α = 90.00°, β = 90.00°, γ = 90.00°
Space group I4/mcm (No. 140)
Asymmetric unit:
1 Ba 0.0000 0.0000 0.2500
2 Ba 0.1781 0.3219 0.0000
3 Al 0.0000 0.5000 0.2500
4 O 0.0000 0.0000 0.0000
5 O 0.1336 0.3664 0.3451

4.
Diffraction record for NaLi3Pb3. The powder X-ray diffraction pattern is calculated, not measured: it uses a PBE-relaxed structure and Cu Kα X-rays.
Neutral-atom scattering factors, no anomalous dispersion.

Top 10 peaks for 15 to 90 degrees two-theta, sorted by position:
- 21.88 deg, rel. 25
- 24.85 deg, rel. 100
- 27.23 deg, rel. 52
- 30.63 deg, rel. 32
- 36.20 deg, rel. 25
- 37.19 deg, rel. 80
- 41.69 deg, rel. 25
- 45.88 deg, rel. 23
- 62.34 deg, rel. 16
- 67.66 deg, rel. 15

Structural model:
a = 9.9254 Å, b = 10.3574 Å, c = 6.5509 Å
α = 90.00°, β = 90.00°, γ = 90.00°
Space group Cmmm (No. 65)
Asymmetric unit:
1 Na 0.1893 0.0000 0.0000
2 Li 0.0000 0.5000 0.2439
3 Li 0.2500 0.2500 0.2533
4 Pb 0.0000 0.1871 0.5000
5 Pb 0.0000 0.2666 0.0000
6 Pb 0.2347 0.5000 0.5000

- Which formula does entry 3 have?
  Ba3AlO5